No. 1
Computed powder diffraction line list
Compound: Nd4Dy3In2
Radiation: copper Kα
Structure: a structure optimized by DFT (GGA-PBE)
Peak positions follow from Bragg's law for the DFT cell and can differ from measured ones.

Structural model:
Cell: 5.4090 6.8197 8.6358 Å, 103.47 90.06 113.35°
Space group P-1 (No. 2)
Symmetry-distinct sites (fractional):
Nd1 0.1161 0.2323 0.1568 x2
Nd2 0.3311 0.6622 0.5358 x2
Dy1 0.0000 0.0000 0.5000 x1
Dy2 0.4199 0.8389 0.1461 x2
In1 0.2060 0.4130 0.8172 x2

Peak list (6 most intense, 2θ from 5° to 70°, by angle)
31.3°, I 100, (1 1 -2); 31.6°, I 93, (1 1 1); 32.2°, I 43, (0 0 3); 33.1°, I 47, (2 -1 0); 43.4°, I 18, (0 3 -1); 46.8°, I 30, (2 -1 3)

No. 2
Computed powder diffraction line list
Compound: Nd2Dy2In5
Radiation: copper Kα
Structure: a structure optimized by DFT (GGA-PBE)
Peak positions follow from Bragg's law for the DFT cell and can differ from measured ones.

Structural model:
Cell: 14.3123 7.2489 10.1141 Å, 90.00 90.00 90.00°
Space group Ima2 (No. 46)
Symmetry-distinct sites (fractional):
Nd1 0.1267 0.0270 0.0000 x8
Dy1 0.0000 0.0000 0.5654 x4
Dy2 0.2500 0.5043 0.9331 x4
In1 0.0438 0.1881 0.2879 x8
In2 0.1516 0.7094 0.2236 x8
In3 0.2500 0.1871 0.7147 x4

Peak list (6 most intense, 2θ from 5° to 70°, by angle)
29.2°, I 100, (4 1 1); 30.3°, I 94, (0 2 2); 31.8°, I 35, (2 1 3); 32.9°, I 24, (2 2 2); 37.7°, I 26, (2 0 4); 38.2°, I 37, (5 1 2)

No. 3
Computed powder diffraction line list
Compound: Nd3DyIn3
Radiation: copper Kα
Structure: a structure optimized by DFT (GGA-PBE)
Peak positions follow from Bragg's law for the DFT cell and can differ from measured ones.

Structural model:
Cell: 9.5319 9.5319 9.5319 Å, 90.00 90.00 90.00°
Space group P2_13 (No. 198)
Symmetry-distinct sites (fractional):
Nd1 0.0696 0.4304 0.5696 x4
Nd2 0.1713 0.8287 0.3287 x4
Nd3 0.1759 0.1759 0.1759 x4
Dy1 0.0766 0.5766 0.9234 x4
In1 0.0031 0.2554 0.8683 x12

Peak list (6 most intense, 2θ from 5° to 70°, by angle)
29.6°, I 100, (3 0 1); 35.2°, I 74, (3 1 2); 46.7°, I 20, (4 2 2); 48.7°, I 22, (4 3 1); 59.8°, I 26, (6 1 1); 63.2°, I 15, (5 4 1)

No. 4
Computed powder diffraction line list
Compound: Nd6Dy12In
Radiation: copper Kα
Structure: a structure optimized by DFT (GGA-PBE)
Peak positions follow from Bragg's law for the DFT cell and can differ from measured ones.

Structural model:
Cell: 11.9588 11.9588 15.0047 Å, 90.00 90.00 120.00°
Space group R-3 (No. 148, hexagonal axes)
Symmetry-distinct sites (fractional):
Nd1 0.0134 0.4227 0.1829 x18
Dy1 0.0010 0.8283 0.6864 x18
Dy2 0.0455 0.8518 0.9160 x18
In1 0.0000 0.0000 0.5000 x3

Peak list (6 most intense, 2θ from 5° to 70°, by angle)
31.0°, I 42, (0 1 5); 31.5°, I 29, (0 3 3); 31.7°, I 100, (1 3 1); 33.1°, I 72, (3 -1 4); 33.4°, I 27, (4 -1 2); 55.4°, I 19, (5 2 0)

No. 5
Computed powder diffraction line list
Compound: Nd5Dy4In4
Radiation: copper Kα
Structure: a structure optimized by DFT (GGA-PBE)
Peak positions follow from Bragg's law for the DFT cell and can differ from measured ones.

Structural model:
Cell: 12.5262 12.5262 5.1192 Å, 90.00 90.00 90.00°
Space group I4/m (No. 87)
Symmetry-distinct sites (fractional):
Nd1 0.0000 0.0000 0.0000 x2
Nd2 0.0992 0.8083 0.5000 x8
Dy1 0.0945 0.6059 0.0000 x8
In1 0.1029 0.2375 0.0000 x8

Peak list (6 most intense, 2θ from 5° to 70°, by angle)
31.1°, I 100, (2 3 1); 34.3°, I 10, (1 4 1); 35.1°, I 22, (0 0 2); 36.6°, I 18, (5 1 0); 51.6°, I 21, (5 5 0); 60.5°, I 19, (2 3 3)

No. 6
Computed powder diffraction line list
Compound: Nd3DyIn4
Radiation: copper Kα
Structure: a structure optimized by DFT (GGA-PBE)
Peak positions follow from Bragg's law for the DFT cell and can differ from measured ones.

Structural model:
Cell: 3.8402 3.8402 15.4442 Å, 90.00 90.00 90.00°
Space group P4/mmm (No. 123)
Symmetry-distinct sites (fractional):
Nd1 0.0000 0.0000 0.0000 x1
Nd2 0.0000 0.0000 0.2553 x2
Dy1 0.0000 0.0000 0.5000 x1
In1 0.5000 0.5000 0.1276 x2
In2 0.5000 0.5000 0.3839 x2

Peak list (6 most intense, 2θ from 5° to 70°, by angle)
32.9°, I 100, (1 1 0); 47.1°, I 6, (0 0 8); 47.3°, I 12, (2 0 0); 58.7°, I 12, (1 1 8); 58.9°, I 25, (2 1 4); 69.0°, I 7, (2 0 8)

No. 7
Computed powder diffraction line list
Compound: Nd4DyIn
Radiation: copper Kα
Structure: a structure optimized by DFT (GGA-PBE)
Peak positions follow from Bragg's law for the DFT cell and can differ from measured ones.

Structural model:
Cell: 5.7279 21.4456 6.4908 Å, 90.00 90.00 90.00°
Space group Cmc2_1 (No. 36)
Symmetry-distinct sites (fractional):
Nd1 0.0000 0.0442 0.0000 x4
Nd2 0.0000 0.1882 0.1521 x4
Nd3 0.0000 0.2492 0.6868 x4
Nd4 0.0000 0.4385 0.8162 x4
Dy1 0.0000 0.3633 0.2961 x4
In1 0.0000 0.1038 0.5506 x4

Peak list (6 most intense, 2θ from 5° to 70°, by angle)
28.5°, I 39, (0 6 1); 29.4°, I 100, (1 5 1); 31.2°, I 72, (2 0 0); 32.0°, I 77, (1 1 2); 36.0°, I 55, (1 7 1); 56.0°, I 30, (3 1 2)

No. 8
Computed powder diffraction line list
Compound: NdDy4In2
Radiation: copper Kα
Structure: a structure optimized by DFT (GGA-PBE)
Peak positions follow from Bragg's law for the DFT cell and can differ from measured ones.

Structural model:
Cell: 6.8330 10.8032 11.8607 Å, 90.00 90.00 90.00°
Space group Fmmm (No. 69)
Symmetry-distinct sites (fractional):
Nd1 0.0000 0.0000 0.0000 x4
Dy1 0.0000 0.1675 0.5000 x8
Dy2 0.2500 0.2500 0.2500 x8
In1 0.0000 0.0000 0.2787 x8

Peak list (6 most intense, 2θ from 5° to 70°, by angle)
29.0°, I 50, (1 3 1); 30.2°, I 100, (0 0 4); 31.0°, I 34, (2 2 0); 34.5°, I 58, (2 2 2); 36.2°, I 54, (1 3 3); 66.7°, I 32, (2 6 4)